No. 1
BaCeI4: computed XRD peak list (CuKα), based on DFT lattice parameters and positions (GGA-PBE).
Intensities are scaled so that the largest is 100.

Main lines, low angle first (15° ≤ 2θ ≤ 90°):
| Position (°2θ) | Rel. int. |
| --- | --- |
| 26.2 | 100 |
| 27.3 | 88 |
| 29.1 | 54 |
| 30.0 | 78 |
| 30.6 | 52 |
| 31.0 | 59 |
| 32.5 | 84 |
| 33.3 | 66 |
| 35.2 | 69 |
| 40.9 | 46 |

Cell and atoms:
Cell lengths 9.261, 9.261, 7.515 Å; angles 107.76, 107.76, 111.03 degrees
Sites, in units of the cell vectors:
Ba 0.135 0.865 0.750
Ba 0.865 0.135 0.250
Ce 0.500 0.500 0.250
Ce 0.500 0.500 0.750
I 0.143 0.269 0.782
I 0.212 0.558 0.416
I 0.269 0.143 0.282
I 0.442 0.788 0.084
I 0.558 0.212 0.916
I 0.731 0.857 0.718
I 0.788 0.442 0.584
I 0.857 0.731 0.218

No. 2
BaCeInSbO6: computed XRD peak list (CuKα), based on DFT lattice parameters and positions (GGA-PBE).
Intensities are scaled so that the largest is 100.

Main lines, low angle first (15° ≤ 2θ ≤ 90°):
| Position (°2θ) | Rel. int. |
| --- | --- |
| 20.7 | 1 |
| 29.5 | 100 |
| 36.3 | 1 |
| 42.2 | 30 |
| 52.4 | 40 |
| 61.2 | 19 |
| 69.4 | 18 |
| 77.2 | 6 |
| 84.7 | 21 |

Cell and atoms:
Cell lengths 6.054, 6.054, 6.054 Å; angles 60.00, 60.00, 60.00 degrees
Sites, in units of the cell vectors:
Ba 0.000 0.000 0.000
Ce 0.250 0.250 0.250
In 0.500 0.500 0.500
Sb 0.750 0.750 0.750
O 0.513 0.513 0.987
O 0.513 0.987 0.513
O 0.513 0.987 0.987
O 0.987 0.513 0.513
O 0.987 0.513 0.987
O 0.987 0.987 0.513

No. 3
BaCeInSbO6: computed XRD peak list (CuKα), based on DFT lattice parameters and positions (GGA-PBE).
Intensities are scaled so that the largest is 100.

Main lines, low angle first (15° ≤ 2θ ≤ 90°):
| Position (°2θ) | Rel. int. |
| --- | --- |
| 28.0 | 100 |
| 28.5 | 83 |
| 28.8 | 85 |
| 39.7 | 24 |
| 40.4 | 21 |
| 41.8 | 20 |
| 49.7 | 43 |
| 50.2 | 44 |
| 51.1 | 42 |
| 59.0 | 14 |

Cell and atoms:
Cell lengths 8.640, 8.928, 9.086 Å; angles 90.00, 90.00, 90.00 degrees
Sites, in units of the cell vectors:
Ba 0.250 0.250 0.250
Ba 0.250 0.250 0.750
Ba 0.750 0.750 0.250
Ba 0.750 0.750 0.750
Ce 0.000 0.000 0.000
Ce 0.000 0.500 0.500
Ce 0.500 0.000 0.500
Ce 0.500 0.500 0.000
In 0.250 0.750 0.250
In 0.250 0.750 0.750
In 0.750 0.250 0.250
In 0.750 0.250 0.750
Sb 0.000 0.000 0.500
Sb 0.000 0.500 0.000
Sb 0.500 0.000 0.000
Sb 0.500 0.500 0.500
O 0.058 0.576 0.247
O 0.058 0.746 0.916
O 0.058 0.754 0.584
O 0.058 0.924 0.253
O 0.249 0.059 0.522
O 0.249 0.441 0.978
O 0.251 0.059 0.978
O 0.251 0.441 0.522
O 0.442 0.576 0.253
O 0.442 0.746 0.584
O 0.442 0.754 0.916
O 0.442 0.924 0.247
O 0.558 0.076 0.753
O 0.558 0.246 0.084
O 0.558 0.254 0.416
O 0.558 0.424 0.747
O 0.749 0.559 0.478
O 0.749 0.941 0.022
O 0.751 0.559 0.022
O 0.751 0.941 0.478
O 0.942 0.076 0.747
O 0.942 0.246 0.416
O 0.942 0.254 0.084
O 0.942 0.424 0.753

No. 4
BaLiCeSbO6: computed XRD peak list (CuKα), based on DFT lattice parameters and positions (GGA-PBE).
Intensities are scaled so that the largest is 100.

Main lines, low angle first (15° ≤ 2θ ≤ 90°):
| Position (°2θ) | Rel. int. |
| --- | --- |
| 21.1 | 22 |
| 25.9 | 11 |
| 30.1 | 100 |
| 40.1 | 9 |
| 42.9 | 10 |
| 43.1 | 21 |
| 53.4 | 29 |
| 53.4 | 15 |
| 62.4 | 12 |
| 86.8 | 8 |

Cell and atoms:
Cell lengths 8.391, 8.404, 8.429 Å; angles 90.00, 90.00, 90.00 degrees
Sites, in units of the cell vectors:
Ba 0.250 0.250 0.250
Ba 0.250 0.250 0.750
Ba 0.750 0.750 0.250
Ba 0.750 0.750 0.750
Li 0.250 0.750 0.250
Li 0.250 0.750 0.750
Li 0.750 0.250 0.250
Li 0.750 0.250 0.750
Ce 0.000 0.000 0.000
Ce 0.000 0.500 0.500
Ce 0.500 0.000 0.500
Ce 0.500 0.500 0.000
Sb 0.000 0.000 0.500
Sb 0.000 0.500 0.000
Sb 0.500 0.000 0.000
Sb 0.500 0.500 0.500
O 0.017 0.737 0.045
O 0.017 0.763 0.455
O 0.032 0.544 0.764
O 0.032 0.956 0.736
O 0.238 0.027 0.479
O 0.238 0.473 0.021
O 0.262 0.027 0.021
O 0.262 0.473 0.479
O 0.468 0.544 0.736
O 0.468 0.956 0.764
O 0.483 0.737 0.455
O 0.483 0.763 0.045
O 0.517 0.237 0.955
O 0.517 0.263 0.545
O 0.532 0.044 0.236
O 0.532 0.456 0.264
O 0.738 0.527 0.521
O 0.738 0.973 0.979
O 0.762 0.527 0.979
O 0.762 0.973 0.521
O 0.968 0.044 0.264
O 0.968 0.456 0.236
O 0.983 0.237 0.545
O 0.983 0.263 0.955

No. 5
BaLiCeSbO6: computed XRD peak list (CuKα), based on DFT lattice parameters and positions (GGA-PBE).
Intensities are scaled so that the largest is 100.

Main lines, low angle first (15° ≤ 2θ ≤ 90°):
| Position (°2θ) | Rel. int. |
| --- | --- |
| 18.1 | 27 |
| 21.0 | 24 |
| 29.8 | 100 |
| 35.1 | 16 |
| 42.7 | 34 |
| 48.0 | 9 |
| 53.0 | 41 |
| 62.0 | 21 |
| 70.3 | 18 |
| 85.9 | 22 |

Cell and atoms:
Cell lengths 5.989, 5.989, 5.989 Å; angles 60.00, 60.00, 60.00 degrees
Sites, in units of the cell vectors:
Ba 0.000 0.000 0.000
Li 0.500 0.500 0.500
Ce 0.250 0.250 0.250
Sb 0.750 0.750 0.750
O 0.513 0.513 0.987
O 0.513 0.987 0.513
O 0.513 0.987 0.987
O 0.987 0.513 0.513
O 0.987 0.513 0.987
O 0.987 0.987 0.513

No. 6
BaCeMg14: computed XRD peak list (CuKα), based on DFT lattice parameters and positions (GGA-PBE).
Intensities are scaled so that the largest is 100.

Main lines, low angle first (15° ≤ 2θ ≤ 90°):
| Position (°2θ) | Rel. int. |
| --- | --- |
| 15.6 | 23 |
| 16.7 | 23 |
| 17.7 | 36 |
| 22.9 | 23 |
| 29.9 | 26 |
| 31.1 | 22 |
| 31.5 | 17 |
| 33.8 | 31 |
| 34.5 | 100 |
| 35.8 | 36 |

Cell and atoms:
Cell lengths 10.621, 6.681, 6.681 Å; angles 63.38, 90.00, 90.00 degrees
Sites, in units of the cell vectors:
Ba 0.000 0.000 0.000
Ce 0.000 0.504 0.504
Mg 0.000 0.495 0.999
Mg 0.000 0.999 0.495
Mg 0.251 0.322 0.322
Mg 0.264 0.814 0.814
Mg 0.273 0.339 0.814
Mg 0.273 0.814 0.339
Mg 0.500 0.491 0.491
Mg 0.500 0.492 0.998
Mg 0.500 0.993 0.993
Mg 0.500 0.998 0.492
Mg 0.727 0.339 0.814
Mg 0.727 0.814 0.339
Mg 0.736 0.814 0.814
Mg 0.749 0.322 0.322

No. 7
BaCeMg14: computed XRD peak list (CuKα), based on DFT lattice parameters and positions (GGA-PBE).
Intensities are scaled so that the largest is 100.

Main lines, low angle first (15° ≤ 2θ ≤ 90°):
| Position (°2θ) | Rel. int. |
| --- | --- |
| 22.5 | 51 |
| 26.1 | 17 |
| 30.2 | 32 |
| 31.1 | 21 |
| 33.8 | 23 |
| 34.7 | 100 |
| 46.0 | 23 |
| 53.6 | 28 |
| 61.1 | 18 |
| 64.9 | 19 |

Cell and atoms:
Cell lengths 6.834, 6.834, 10.602 Å; angles 90.00, 90.00, 120.00 degrees
Sites, in units of the cell vectors:
Ba 0.000 0.000 0.000
Ce 0.000 0.000 0.500
Mg 0.005 0.502 0.500
Mg 0.017 0.509 0.000
Mg 0.176 0.352 0.259
Mg 0.176 0.352 0.741
Mg 0.176 0.824 0.259
Mg 0.176 0.824 0.741
Mg 0.491 0.509 0.000
Mg 0.491 0.983 0.000
Mg 0.498 0.502 0.500
Mg 0.498 0.995 0.500
Mg 0.648 0.824 0.259
Mg 0.648 0.824 0.741
Mg 0.667 0.333 0.251
Mg 0.667 0.333 0.749

No. 8
Ba2CeMgNbO6: computed XRD peak list (CuKα), based on DFT lattice parameters and positions (GGA-PBE).
Intensities are scaled so that the largest is 100.

Main lines, low angle first (15° ≤ 2θ ≤ 90°):
| Position (°2θ) | Rel. int. |
| --- | --- |
| 27.4 | 28 |
| 29.7 | 51 |
| 30.0 | 100 |
| 30.9 | 65 |
| 32.2 | 29 |
| 42.8 | 30 |
| 44.4 | 39 |
| 53.0 | 35 |
| 53.5 | 24 |
| 62.4 | 18 |

Cell and atoms:
Cell lengths 5.963, 5.963, 6.829 Å; angles 118.35, 118.35, 60.50 degrees
Sites, in units of the cell vectors:
Ba 0.000 0.000 0.000
Ba 0.233 0.233 0.712
Ce 0.444 0.444 0.337
Mg 0.795 0.795 0.415
Nb 0.618 0.618 0.865
O 0.012 0.537 0.082
O 0.204 0.699 0.625
O 0.537 0.012 0.082
O 0.552 0.552 0.109
O 0.699 0.204 0.625
O 0.707 0.707 0.637

No. 9
Ba2CeMgNbO6: computed XRD peak list (CuKα), based on DFT lattice parameters and positions (GGA-PBE).
Intensities are scaled so that the largest is 100.

Main lines, low angle first (15° ≤ 2θ ≤ 90°):
| Position (°2θ) | Rel. int. |
| --- | --- |
| 15.5 | 24 |
| 26.2 | 57 |
| 27.8 | 52 |
| 29.2 | 100 |
| 29.3 | 69 |
| 29.8 | 33 |
| 31.7 | 30 |
| 40.9 | 63 |
| 41.6 | 24 |
| 51.9 | 33 |

Cell and atoms:
Cell lengths 6.091, 6.131, 6.487 Å; angles 65.78, 89.99, 60.33 degrees
Sites, in units of the cell vectors:
Ba 0.188 0.125 0.121
Ba 0.812 0.875 0.879
Ce 0.000 0.500 0.500
Mg 0.500 0.500 0.500
Nb 0.500 0.500 0.000
O 0.266 0.519 0.248
O 0.280 0.940 0.811
O 0.285 0.481 0.752
O 0.715 0.519 0.248
O 0.720 0.060 0.189
O 0.734 0.481 0.752

No. 10
BaCe2MnS5: computed XRD peak list (CuKα), based on DFT lattice parameters and positions (GGA-PBE).
Intensities are scaled so that the largest is 100.

Main lines, low angle first (15° ≤ 2θ ≤ 90°):
| Position (°2θ) | Rel. int. |
| --- | --- |
| 20.6 | 16 |
| 26.2 | 100 |
| 32.2 | 88 |
| 36.1 | 33 |
| 41.9 | 40 |
| 48.1 | 19 |
| 52.0 | 23 |
| 59.1 | 16 |
| 67.3 | 19 |
| 78.1 | 17 |

Cell and atoms:
Cell lengths 8.794, 8.794, 8.794 Å; angles 126.85, 126.85, 78.50 degrees
Sites, in units of the cell vectors:
Ba 0.250 0.250 0.000
Ba 0.750 0.750 0.000
Ce 0.159 0.659 0.817
Ce 0.341 0.159 0.500
Ce 0.659 0.841 0.500
Ce 0.841 0.341 0.183
Mn 0.250 0.750 0.500
Mn 0.750 0.250 0.500
S 0.000 0.000 0.000
S 0.017 0.215 0.500
S 0.215 0.715 0.198
S 0.285 0.483 0.500
S 0.483 0.983 0.198
S 0.500 0.500 0.000
S 0.517 0.017 0.802
S 0.715 0.517 0.500
S 0.785 0.285 0.802
S 0.983 0.785 0.500

No. 11
BaNaCeNbO6: computed XRD peak list (CuKα), based on DFT lattice parameters and positions (GGA-PBE).
Intensities are scaled so that the largest is 100.

Main lines, low angle first (15° ≤ 2θ ≤ 90°):
| Position (°2θ) | Rel. int. |
| --- | --- |
| 18.0 | 22 |
| 20.8 | 13 |
| 29.6 | 100 |
| 34.9 | 14 |
| 42.4 | 34 |
| 52.6 | 40 |
| 61.5 | 21 |
| 69.8 | 18 |
| 77.6 | 7 |
| 85.2 | 21 |

Cell and atoms:
Cell lengths 6.028, 6.028, 6.028 Å; angles 60.00, 60.00, 60.00 degrees
Sites, in units of the cell vectors:
Ba 0.000 0.000 0.000
Na 0.500 0.500 0.500
Ce 0.250 0.250 0.250
Nb 0.750 0.750 0.750
O 0.513 0.513 0.987
O 0.513 0.987 0.513
O 0.513 0.987 0.987
O 0.987 0.513 0.513
O 0.987 0.513 0.987
O 0.987 0.987 0.513